# 1
Diffraction record for Tb4CuPt3. The powder XRD pattern is computed, not measured: it uses the GGA-PBE geometry in the Materials Project and Cu Kα X-rays.
Neutral-atom scattering factors, no anomalous dispersion.

Cell and atoms:
abc: 5.580 4.559 7.025
angles: 90.00 90.41 90.00
Sites, in units of the cell vectors:
Tb (0.000, 0.000, 0.000)
Tb (0.217, 0.000, 0.498)
Tb (0.498, 0.500, 0.139)
Tb (0.724, 0.500, 0.628)
Cu (0.495, 0.000, 0.853)
Pt (0.015, 0.500, 0.272)
Pt (0.226, 0.500, 0.782)
Pt (0.700, 0.000, 0.360)

Largest 6 diffraction maxima, by angle, 10 to 90 degrees two-theta:
2θ (°)  d (Å)  I_rel
32.2  2.783  100
36.0  2.496  70
36.2  2.484  59
39.5  2.279  68
39.9  2.258  52
40.1  2.250  64

# 2
Diffraction record for Zn2CuPt. The powder XRD pattern is computed, not measured: it uses the GGA-PBE geometry in the Materials Project and Cu Kα X-rays.
Neutral-atom scattering factors, no anomalous dispersion.

Cell and atoms:
abc: 6.071 6.071 6.071
angles: 90.00 90.00 90.00
Sites, in units of the cell vectors:
Zn (0.250, 0.250, 0.250)
Zn (0.250, 0.250, 0.750)
Zn (0.250, 0.750, 0.250)
Zn (0.250, 0.750, 0.750)
Zn (0.750, 0.250, 0.250)
Zn (0.750, 0.250, 0.750)
Zn (0.750, 0.750, 0.250)
Zn (0.750, 0.750, 0.750)
Cu (0.000, 0.000, 0.000)
Cu (0.000, 0.500, 0.500)
Cu (0.500, 0.000, 0.500)
Cu (0.500, 0.500, 0.000)
Pt (0.000, 0.000, 0.500)
Pt (0.000, 0.500, 0.000)
Pt (0.500, 0.000, 0.000)
Pt (0.500, 0.500, 0.500)

Largest 6 diffraction maxima, by angle, 10 to 90 degrees two-theta:
2θ (°)  d (Å)  I_rel
25.4  3.505  23
29.4  3.036  11
42.1  2.147  100
49.8  1.831  12
61.1  1.518  16
76.9  1.239  32

# 3
Diffraction record for PuCu6. The powder XRD pattern is computed, not measured: it uses the GGA-PBE geometry in the Materials Project and Cu Kα X-rays.
Neutral-atom scattering factors, no anomalous dispersion.

Cell and atoms:
abc: 8.023 5.027 10.068
angles: 90.00 90.00 90.00
Sites, in units of the cell vectors:
Pu (0.242, 0.250, 0.066)
Pu (0.258, 0.750, 0.566)
Pu (0.742, 0.250, 0.434)
Pu (0.758, 0.750, 0.934)
Cu (0.063, 0.750, 0.096)
Cu (0.066, 0.006, 0.309)
Cu (0.066, 0.494, 0.309)
Cu (0.100, 0.250, 0.516)
Cu (0.138, 0.750, 0.857)
Cu (0.183, 0.250, 0.755)
Cu (0.317, 0.750, 0.255)
Cu (0.362, 0.250, 0.357)
Cu (0.400, 0.750, 0.016)
Cu (0.434, 0.506, 0.809)
Cu (0.434, 0.994, 0.809)
Cu (0.437, 0.250, 0.596)
Cu (0.563, 0.750, 0.404)
Cu (0.566, 0.006, 0.191)
Cu (0.566, 0.494, 0.191)
Cu (0.600, 0.250, 0.984)
Cu (0.638, 0.750, 0.643)
Cu (0.683, 0.250, 0.745)
Cu (0.817, 0.750, 0.245)
Cu (0.862, 0.250, 0.143)
Cu (0.900, 0.750, 0.484)
Cu (0.934, 0.506, 0.691)
Cu (0.934, 0.994, 0.691)
Cu (0.937, 0.250, 0.904)

Largest 6 diffraction maxima, by angle, 10 to 90 degrees two-theta:
2θ (°)  d (Å)  I_rel
22.7  3.923  44
37.4  2.402  56
39.2  2.299  100
39.3  2.291  84
46.5  1.952  37
66.5  1.405  37

# 4
Diffraction record for PuCu2Si2. The powder XRD pattern is computed, not measured: it uses the GGA-PBE geometry in the Materials Project and Cu Kα X-rays.
Neutral-atom scattering factors, no anomalous dispersion.

Cell and atoms:
abc: 3.983 3.983 10.002
angles: 90.00 90.00 90.00
Sites, in units of the cell vectors:
Pu (0.000, 0.000, 0.000)
Pu (0.500, 0.500, 0.500)
Cu (0.000, 0.500, 0.250)
Cu (0.000, 0.500, 0.750)
Cu (0.500, 0.000, 0.250)
Cu (0.500, 0.000, 0.750)
Si (0.000, 0.000, 0.382)
Si (0.000, 0.000, 0.618)
Si (0.500, 0.500, 0.118)
Si (0.500, 0.500, 0.882)

Largest 6 diffraction maxima, by angle, 10 to 90 degrees two-theta:
2θ (°)  d (Å)  I_rel
24.0  3.701  72
35.1  2.557  56
36.6  2.454  100
45.5  1.992  35
51.1  1.788  22
58.8  1.571  26

# 5
Diffraction record for RbCuS3. The powder XRD pattern is computed, not measured: it uses the GGA-PBE geometry in the Materials Project and Cu Kα X-rays.
Neutral-atom scattering factors, no anomalous dispersion.

Cell and atoms:
abc: 3.481 4.181 7.901
angles: 90.00 90.00 90.00
Sites, in units of the cell vectors:
Rb (0.000, 0.000, 0.000)
Cu (0.000, 0.500, 0.596)
S (0.000, 0.000, 0.416)
S (0.500, 0.500, 0.388)
S (0.500, 0.500, 0.782)

Largest 6 diffraction maxima, by angle, 10 to 90 degrees two-theta:
2θ (°)  d (Å)  I_rel
24.1  3.696  100
31.1  2.872  30
34.3  2.612  53
35.4  2.534  37
40.7  2.215  47
48.5  1.877  36

# 6
Diffraction record for RbCu4S3. The powder XRD pattern is computed, not measured: it uses the GGA-PBE geometry in the Materials Project and Cu Kα X-rays.
Neutral-atom scattering factors, no anomalous dispersion.

Cell and atoms:
abc: 3.912 3.912 9.482
angles: 90.00 90.00 90.00
Sites, in units of the cell vectors:
Rb (0.000, 0.000, 0.000)
Cu (0.000, 0.500, 0.343)
Cu (0.000, 0.500, 0.657)
Cu (0.500, 0.000, 0.343)
Cu (0.500, 0.000, 0.657)
S (0.000, 0.000, 0.500)
S (0.500, 0.500, 0.214)
S (0.500, 0.500, 0.786)

Largest 6 diffraction maxima, by angle, 10 to 90 degrees two-theta:
2θ (°)  d (Å)  I_rel
28.2  3.161  66
29.6  3.017  96
33.8  2.656  100
43.5  2.082  66
46.4  1.956  86
50.7  1.800  75

# 7
Diffraction record for RbCuSnS3. The powder XRD pattern is computed, not measured: it uses the GGA-PBE geometry in the Materials Project and Cu Kα X-rays.
Neutral-atom scattering factors, no anomalous dispersion.

Cell and atoms:
abc: 7.913 7.913 20.490
angles: 95.55 95.55 90.01
Sites, in units of the cell vectors:
Rb (0.103, 0.727, 0.910)
Rb (0.272, 0.398, 0.590)
Rb (0.273, 0.897, 0.590)
Rb (0.398, 0.272, 0.090)
Rb (0.602, 0.728, 0.910)
Rb (0.727, 0.103, 0.410)
Rb (0.728, 0.602, 0.410)
Rb (0.897, 0.273, 0.090)
Cu (0.060, 0.438, 0.750)
Cu (0.063, 0.937, 0.750)
Cu (0.436, 0.564, 0.250)
Cu (0.438, 0.060, 0.250)
Cu (0.562, 0.940, 0.750)
Cu (0.564, 0.436, 0.750)
Cu (0.937, 0.063, 0.250)
Cu (0.940, 0.562, 0.250)
Sn (0.157, 0.783, 0.129)
Sn (0.217, 0.843, 0.371)
Sn (0.218, 0.343, 0.371)
Sn (0.343, 0.218, 0.871)
Sn (0.657, 0.782, 0.129)
Sn (0.782, 0.657, 0.629)
Sn (0.783, 0.157, 0.629)
Sn (0.843, 0.217, 0.871)
S (0.058, 0.672, 0.689)
S (0.059, 0.172, 0.688)
S (0.113, 0.237, 0.948)
S (0.172, 0.059, 0.188)
S (0.172, 0.535, 0.187)
S (0.237, 0.113, 0.448)
S (0.237, 0.611, 0.448)
S (0.327, 0.463, 0.810)
S (0.328, 0.942, 0.811)
S (0.389, 0.763, 0.052)
S (0.463, 0.327, 0.310)
S (0.465, 0.828, 0.313)
S (0.535, 0.172, 0.687)
S (0.537, 0.673, 0.690)
S (0.611, 0.237, 0.948)
S (0.672, 0.058, 0.189)
S (0.673, 0.537, 0.190)
S (0.763, 0.389, 0.552)
S (0.763, 0.887, 0.552)
S (0.828, 0.465, 0.813)
S (0.828, 0.941, 0.812)
S (0.887, 0.763, 0.052)
S (0.941, 0.828, 0.312)
S (0.942, 0.328, 0.311)

Largest 6 diffraction maxima, by angle, 10 to 90 degrees two-theta:
2θ (°)  d (Å)  I_rel
25.0  3.557  16
25.2  3.535  16
30.0  2.974  100
45.9  1.978  33
52.1  1.756  23
55.8  1.647  32

# 8
Diffraction record for Rb2TaCuS4. The powder XRD pattern is computed, not measured: it uses the GGA-PBE geometry in the Materials Project and Cu Kα X-rays.
Neutral-atom scattering factors, no anomalous dispersion.

Cell and atoms:
abc: 13.994 12.483 7.468
angles: 85.15 62.72 32.12
Sites, in units of the cell vectors:
Rb (0.053, 0.053, 0.697)
Rb (0.303, 0.303, 0.947)
Rb (0.697, 0.697, 0.053)
Rb (0.947, 0.947, 0.303)
Ta (0.125, 0.125, 0.125)
Ta (0.875, 0.875, 0.875)
Cu (0.375, 0.375, 0.375)
Cu (0.625, 0.625, 0.625)
S (0.032, 0.325, 0.409)
S (0.266, 0.591, 0.675)
S (0.325, 0.032, 0.734)
S (0.409, 0.734, 0.032)
S (0.591, 0.266, 0.968)
S (0.675, 0.968, 0.266)
S (0.734, 0.409, 0.325)
S (0.968, 0.675, 0.591)

Largest 6 diffraction maxima, by angle, 10 to 90 degrees two-theta:
2θ (°)  d (Å)  I_rel
14.6  6.082  69
14.7  6.015  79
17.4  5.086  44
25.5  3.498  100
31.1  2.875  55
39.0  2.307  46

# 9
Diffraction record for Rb2TaCuS4. The powder XRD pattern is computed, not measured: it uses the GGA-PBE geometry in the Materials Project and Cu Kα X-rays.
Neutral-atom scattering factors, no anomalous dispersion.

Cell and atoms:
abc: 5.613 7.468 12.483
angles: 85.15 77.01 67.93
Sites, in units of the cell vectors:
Rb (0.000, 0.000, 0.000)
Rb (0.095, 0.496, 0.786)
Rb (0.339, 0.002, 0.290)
Rb (0.753, 0.493, 0.498)
Ta (0.177, 0.993, 0.640)
Ta (0.931, 0.495, 0.141)
Cu (0.429, 0.495, 0.145)
Cu (0.670, 0.998, 0.647)
S (0.014, 0.695, 0.252)
S (0.082, 0.812, 0.535)
S (0.305, 0.308, 0.034)
S (0.378, 0.190, 0.538)
S (0.450, 0.814, 0.750)
S (0.642, 0.687, 0.033)
S (0.719, 0.312, 0.253)
S (0.771, 0.192, 0.752)

Largest 6 diffraction maxima, by angle, 10 to 90 degrees two-theta:
2θ (°)  d (Å)  I_rel
14.6  6.082  70
14.7  6.015  81
17.4  5.086  44
25.5  3.498  100
31.1  2.875  57
39.0  2.307  47

# 10
Diffraction record for RbCuTeS3. The powder XRD pattern is computed, not measured: it uses the GGA-PBE geometry in the Materials Project and Cu Kα X-rays.
Neutral-atom scattering factors, no anomalous dispersion.

Cell and atoms:
abc: 7.523 10.633 8.228
angles: 90.00 105.86 90.00
Sites, in units of the cell vectors:
Rb (0.026, 0.237, 0.384)
Rb (0.026, 0.263, 0.884)
Rb (0.974, 0.737, 0.116)
Rb (0.974, 0.763, 0.616)
Cu (0.417, 0.750, 0.479)
Cu (0.417, 0.750, 0.979)
Cu (0.583, 0.250, 0.021)
Cu (0.583, 0.250, 0.521)
Te (0.436, 0.502, 0.733)
Te (0.436, 0.998, 0.233)
Te (0.564, 0.002, 0.767)
Te (0.564, 0.498, 0.267)
S (0.244, 0.566, 0.909)
S (0.244, 0.934, 0.409)
S (0.247, 0.564, 0.460)
S (0.247, 0.936, 0.960)
S (0.395, 0.226, 0.225)
S (0.395, 0.274, 0.725)
S (0.605, 0.726, 0.275)
S (0.605, 0.774, 0.775)
S (0.753, 0.064, 0.040)
S (0.753, 0.436, 0.540)
S (0.756, 0.066, 0.591)
S (0.756, 0.434, 0.091)

Largest 6 diffraction maxima, by angle, 10 to 90 degrees two-theta:
2θ (°)  d (Å)  I_rel
12.2  7.237  86
20.7  4.285  47
28.1  3.175  73
29.8  3.003  100
33.2  2.698  49
33.7  2.658  51

# 11
Diffraction record for Rb2VCuS4. The powder XRD pattern is computed, not measured: it uses the GGA-PBE geometry in the Materials Project and Cu Kα X-rays.
Neutral-atom scattering factors, no anomalous dispersion.

Cell and atoms:
abc: 13.761 12.262 7.339
angles: 85.26 62.63 32.11
Sites, in units of the cell vectors:
Rb (0.053, 0.053, 0.697)
Rb (0.303, 0.303, 0.947)
Rb (0.697, 0.697, 0.053)
Rb (0.947, 0.947, 0.303)
V (0.125, 0.125, 0.125)
V (0.875, 0.875, 0.875)
Cu (0.375, 0.375, 0.375)
Cu (0.625, 0.625, 0.625)
S (0.039, 0.316, 0.397)
S (0.251, 0.603, 0.684)
S (0.316, 0.039, 0.749)
S (0.397, 0.749, 0.039)
S (0.603, 0.251, 0.961)
S (0.684, 0.961, 0.251)
S (0.749, 0.397, 0.316)
S (0.961, 0.684, 0.603)

Largest 6 diffraction maxima, by angle, 10 to 90 degrees two-theta:
2θ (°)  d (Å)  I_rel
14.8  5.978  34
25.9  3.440  89
27.9  3.197  100
31.7  2.819  47
35.5  2.531  34
40.1  2.250  45

# 12
Diffraction record for Rb2VCuS4. The powder XRD pattern is computed, not measured: it uses the GGA-PBE geometry in the Materials Project and Cu Kα X-rays.
Neutral-atom scattering factors, no anomalous dispersion.

Cell and atoms:
abc: 5.452 7.339 12.262
angles: 85.26 77.15 68.19
Sites, in units of the cell vectors:
Rb (0.000, 0.000, 0.000)
Rb (0.109, 0.501, 0.793)
Rb (0.362, 0.004, 0.288)
Rb (0.759, 0.498, 0.504)
V (0.195, 0.991, 0.644)
V (0.940, 0.491, 0.147)
Cu (0.433, 0.504, 0.144)
Cu (0.686, 0.004, 0.644)
S (0.021, 0.678, 0.252)
S (0.096, 0.817, 0.538)
S (0.317, 0.315, 0.043)
S (0.380, 0.179, 0.543)
S (0.452, 0.818, 0.750)
S (0.661, 0.685, 0.037)
S (0.756, 0.312, 0.249)
S (0.815, 0.187, 0.747)

Largest 6 diffraction maxima, by angle, 10 to 90 degrees two-theta:
2θ (°)  d (Å)  I_rel
14.8  5.978  34
25.9  3.440  88
27.9  3.197  100
31.7  2.819  47
35.5  2.531  34
40.1  2.250  44